1.
Simulated powder XRD pattern of Er2GaNiI2 for a wavelength of 1.5418 Å, from a crystal structure in OQMD, relaxed with PBE.
Kinematic intensities with the Lorentz-polarization factor, no thermal factor.

Unit cell a=4.1353 b=4.1353 c=11.6724 alpha=90.00 beta=90.00 gamma=120.00
Fractional coordinates of all 6 atoms:
Er (0.0000, 0.0000, 0.0000)
Er (0.0000, 0.0000, 0.3097)
Ga (0.3333, 0.6667, 0.1571)
Ni (0.6667, 0.3333, 0.1517)
I (0.3333, 0.6667, 0.8211)
I (0.6667, 0.3333, 0.4871)

Principal peaks in the range 10 to 90 degrees two-theta, sorted by position:
2θ/deg, d_spacing, I/Imax
26.0, 3.424, 501
29.3, 3.052, 296
34.0, 2.635, 1000
39.8, 2.262, 230
43.8, 2.068, 479
46.7, 1.946, 139
56.6, 1.627, 231
65.9, 1.417, 254
74.2, 1.278, 206
78.4, 1.220, 105

=====

2.
Simulated powder XRD pattern of Nd2Ho2CI2Cl3 for a wavelength of 1.5418 Å, from a crystal structure in OQMD, relaxed with PBE.
Kinematic intensities with the Lorentz-polarization factor, no thermal factor.

Unit cell a=9.4780 b=9.4780 c=8.1262 alpha=100.50 beta=100.50 gamma=23.75
Fractional coordinates of all 10 atoms:
Nd (0.0012, 0.0012, 0.2859)
Nd (0.9988, 0.9988, 0.7141)
Ho (0.3689, 0.3689, 0.4330)
Ho (0.6311, 0.6311, 0.5670)
C (0.5000, 0.5000, 0.5000)
I (0.1762, 0.1762, 0.3111)
I (0.8238, 0.8238, 0.6889)
Cl (0.1551, 0.1551, 0.8044)
Cl (0.5000, 0.5000, 0.0000)
Cl (0.8449, 0.8449, 0.1956)

Principal peaks in the range 10 to 90 degrees two-theta, sorted by position:
2θ/deg, d_spacing, I/Imax
11.1, 7.984, 1000
24.2, 3.674, 175
25.5, 3.495, 204
29.4, 3.038, 331
31.8, 2.813, 924
33.6, 2.665, 581
34.0, 2.637, 230
43.3, 2.088, 224
44.4, 2.041, 168
46.6, 1.951, 172

=====

3.
Simulated powder XRD pattern of LiAg3MoS4 for a wavelength of 1.5418 Å, from a crystal structure in OQMD, relaxed with PBE.
Kinematic intensities with the Lorentz-polarization factor, no thermal factor.

Unit cell a=6.0049 b=6.0049 c=6.0049 alpha=90.00 beta=90.00 gamma=90.00
Fractional coordinates of all 9 atoms:
Li (0.0000, 0.0000, 0.0000)
Ag (0.0000, 0.5000, 0.5000)
Ag (0.5000, 0.0000, 0.5000)
Ag (0.5000, 0.5000, 0.0000)
Mo (0.5000, 0.5000, 0.5000)
S (0.2708, 0.2708, 0.2708)
S (0.2708, 0.7292, 0.7292)
S (0.7292, 0.2708, 0.7292)
S (0.7292, 0.7292, 0.2708)

Principal peaks in the range 10 to 90 degrees two-theta, sorted by position:
2θ/deg, d_spacing, I/Imax
14.8, 6.005, 1000
25.7, 3.467, 559
29.8, 3.002, 356
33.4, 2.685, 387
42.6, 2.123, 850
45.3, 2.002, 247
50.4, 1.811, 237
55.1, 1.665, 154
70.1, 1.343, 130
77.9, 1.226, 253

=====

4.
Simulated powder XRD pattern of ZrAg3 for a wavelength of 1.5418 Å, from a crystal structure in OQMD, relaxed with PBE.
Kinematic intensities with the Lorentz-polarization factor, no thermal factor.

Unit cell a=4.8601 b=6.0660 c=5.0405 alpha=90.00 beta=90.00 gamma=90.00
Fractional coordinates of all 8 atoms:
Zr (0.2500, 0.2500, 0.1591)
Zr (0.7500, 0.7500, 0.8409)
Ag (0.2500, 0.5026, 0.6658)
Ag (0.2500, 0.7500, 0.1721)
Ag (0.2500, 0.9974, 0.6658)
Ag (0.7500, 0.0026, 0.3342)
Ag (0.7500, 0.2500, 0.8279)
Ag (0.7500, 0.4974, 0.3342)

Principal peaks in the range 10 to 90 degrees two-theta, sorted by position:
2θ/deg, d_spacing, I/Imax
34.5, 2.599, 246
35.6, 2.520, 107
37.0, 2.430, 399
39.3, 2.292, 1000
40.3, 2.237, 471
51.5, 1.775, 150
63.3, 1.470, 153
68.2, 1.375, 183
75.6, 1.258, 180
75.8, 1.255, 136

=====

5.
Simulated powder XRD pattern of ZrH8N2F6 for a wavelength of 1.5418 Å, from a crystal structure in OQMD, relaxed with PBE.
Kinematic intensities with the Lorentz-polarization factor, no thermal factor.

Unit cell a=5.7240 b=5.7240 c=4.5279 alpha=90.00 beta=90.00 gamma=120.00
Fractional coordinates of all 17 atoms:
Zr (0.0000, 0.0000, 0.0000)
H (0.2376, 0.4751, 0.3759)
H (0.2376, 0.7624, 0.3759)
H (0.3333, 0.6667, 0.0613)
H (0.4751, 0.2376, 0.6241)
H (0.5249, 0.7624, 0.3759)
H (0.6667, 0.3333, 0.9387)
H (0.7624, 0.2376, 0.6241)
H (0.7624, 0.5249, 0.6241)
N (0.3333, 0.6667, 0.2883)
N (0.6667, 0.3333, 0.7117)
F (0.1683, 0.3366, 0.7507)
F (0.1683, 0.8317, 0.7507)
F (0.3366, 0.1683, 0.2493)
F (0.6634, 0.8317, 0.7507)
F (0.8317, 0.1683, 0.2493)
F (0.8317, 0.6634, 0.2493)

Principal peaks in the range 10 to 90 degrees two-theta, sorted by position:
2θ/deg, d_spacing, I/Imax
17.9, 4.957, 1000
19.6, 4.528, 213
26.7, 3.343, 847
31.3, 2.862, 216
37.2, 2.419, 282
41.5, 2.174, 629
44.0, 2.059, 168
48.6, 1.874, 179
52.9, 1.731, 225
54.9, 1.672, 272

=====

6.
Simulated powder XRD pattern of YLuGa2I2 for a wavelength of 1.5418 Å, from a crystal structure in OQMD, relaxed with PBE.
Kinematic intensities with the Lorentz-polarization factor, no thermal factor.

Unit cell a=4.1735 b=4.1735 c=12.0808 alpha=90.00 beta=90.00 gamma=120.00
Fractional coordinates of all 6 atoms:
Y (0.0000, 0.0000, 0.0000)
Lu (0.0000, 0.0000, 0.3298)
Ga (0.3333, 0.6667, 0.1964)
Ga (0.6667, 0.3333, 0.1383)
I (0.3333, 0.6667, 0.8340)
I (0.6667, 0.3333, 0.4917)

Principal peaks in the range 10 to 90 degrees two-theta, sorted by position:
2θ/deg, d_spacing, I/Imax
14.7, 6.040, 128
25.7, 3.463, 443
28.8, 3.102, 504
33.3, 2.690, 1000
38.9, 2.318, 126
43.4, 2.087, 497
45.1, 2.009, 208
55.8, 1.649, 226
64.3, 1.449, 302
73.2, 1.294, 200